Entry 1:
Simulated XRD peak list of LiMnPO5 for copper Kα, from the GGA+U geometry in Alexandria.
Peak positions follow from Bragg's law for the DFT cell and can differ from measured ones.

Most intense lines, 2θ from 15° to 90°, by angle:
18.47°, d 4.803, I = 38
23.92°, d 3.719, I = 24
27.05°, d 3.297, I = 19
27.79°, d 3.211, I = 100
28.38°, d 3.145, I = 60
57.83°, d 1.594, I = 22

Atomic structure:
Cell lengths 7.118, 6.289, 7.439 Å; angles 90.00, 90.00, 90.00 degrees
Space group Pnma (No. 62)
Inequivalent atoms, fractional coordinates:
Li  0.000  0.000  0.000 [4 per cell]
Mn  0.140  0.250  0.270 [4 per cell]
P  0.124  0.750  0.380 [4 per cell]
O  0.061  0.250  0.511 [4 per cell]
O  0.108  0.750  0.840 [4 per cell]
O  0.130  0.558  0.250 [8 per cell]
O  0.201  0.250  0.005 [4 per cell]



Entry 2:
Simulated XRD peak list of LiMnPO4 for copper Kα, from the GGA+U geometry in Alexandria.
Peak positions follow from Bragg's law for the DFT cell and can differ from measured ones.

Most intense lines, 2θ from 15° to 90°, by angle:
19.33°, d 4.593, I = 100
25.52°, d 3.490, I = 17
27.85°, d 3.203, I = 17
27.98°, d 3.189, I = 16
33.37°, d 2.685, I = 15
35.23°, d 2.548, I = 16

Atomic structure:
Cell lengths 9.186, 5.370, 8.862 Å; angles 90.00, 90.00, 90.00 degrees
Space group Pnma (No. 62)
Inequivalent atoms, fractional coordinates:
Li  0.104  0.250  0.117 [4 per cell]
Mn  0.102  0.750  0.636 [4 per cell]
P  0.247  0.750  0.967 [4 per cell]
O  0.105  0.750  0.871 [4 per cell]
O  0.119  0.250  0.359 [4 per cell]
O  0.250  0.014  0.567 [8 per cell]



Entry 3:
Simulated XRD peak list of Li7MnP4O16 for copper Kα, from the GGA+U geometry in Alexandria.
Peak positions follow from Bragg's law for the DFT cell and can differ from measured ones.

Most intense lines, 2θ from 15° to 90°, by angle:
17.26°, d 5.137, I = 33
20.50°, d 4.333, I = 46
20.66°, d 4.299, I = 51
22.91°, d 3.882, I = 100
30.13°, d 2.966, I = 40
36.76°, d 2.445, I = 39

Atomic structure:
Cell lengths 4.757, 5.933, 10.269 Å; angles 90.00, 90.58, 90.00 degrees
Space group Pm (No. 6)
Inequivalent atoms, fractional coordinates:
Li  0.000  0.000  0.000 [1 per cell]
Li  0.023  0.239  0.286 [2 per cell]
Li  0.032  0.500  0.548 [1 per cell]
Li  0.534  0.240  0.749 [2 per cell]
Li  0.543  0.000  0.491 [1 per cell]
Mn  0.513  0.500  0.054 [1 per cell]
P  0.087  0.000  0.678 [1 per cell]
P  0.459  0.000  0.181 [1 per cell]
P  0.588  0.500  0.363 [1 per cell]
P  0.930  0.500  0.881 [1 per cell]
O  0.208  0.000  0.820 [1 per cell]
O  0.220  0.210  0.612 [2 per cell]
O  0.254  0.500  0.893 [1 per cell]
O  0.269  0.500  0.357 [1 per cell]
O  0.317  0.000  0.314 [1 per cell]
O  0.327  0.214  0.106 [2 per cell]
O  0.718  0.500  0.215 [1 per cell]
O  0.726  0.292  0.427 [2 per cell]
O  0.765  0.000  0.674 [1 per cell]
O  0.778  0.000  0.180 [1 per cell]
O  0.783  0.300  0.957 [2 per cell]
O  0.824  0.500  0.740 [1 per cell]